Diffraction record for Sr2CeCoO6. The X-ray diffraction stick pattern is theoretical, not measured: it uses the GGA+U geometry in Alexandria and Cu Kα.
No peak broadening, texture or thermal motion is included.

Most intense lines, 2θ from 10° to 80°, low angle first:
two_theta	I (rel.)	(hkl)
18.92	13	1 0 -2
30.98	100	1 1 1
31.17	99	1 1 -3
44.48	42	2 2 -2
44.60	21	0 0 4
55.00	21	2 0 2
55.31	27	3 1 -5
55.44	33	0 2 4
64.62	12	2 2 2
65.00	18	0 4 0

Cell lengths 5.7805, 5.7411, 9.9373 Å; angles 90.00, 125.13, 90.00 degrees
Fractional coordinates of all 20 atoms:
Sr 0.2419 0.0181 0.2476
Sr 0.2419 0.4819 0.7476
Sr 0.7581 0.5181 0.2524
Sr 0.7581 0.9819 0.7524
Ce 0.5000 0.0000 0.0000
Ce 0.5000 0.5000 0.5000
Co 0.0000 0.0000 0.5000
Co 0.0000 0.5000 0.0000
O 0.1800 0.2467 0.9701
O 0.1800 0.2533 0.4701
O 0.2197 0.7121 0.9687
O 0.2197 0.7879 0.4687
O 0.2889 0.0074 0.7313
O 0.2889 0.4926 0.2313
O 0.7111 0.5074 0.7687
O 0.7111 0.9926 0.2687
O 0.7803 0.2121 0.5313
O 0.7803 0.2879 0.0313
O 0.8200 0.7467 0.5299
O 0.8200 0.7533 0.0299